For Re2AuSe, a cell relaxed with PBE gives the calculated X-ray powder pattern in this record (Cu Kα, 1.54184 Å).
Lines closer than 0.1° are merged.

Structure:
```
4
Lattice="0.000 3.212 3.212 3.212 0.000 3.212 3.212 3.212 0.000" Properties=species:S:1:pos:R:3 pbc="T T T"
Re 0.000 0.000 0.000
Re 1.606 1.606 1.606
Au 4.818 4.818 4.818
Se 3.212 3.212 3.212
```

The 10 most intense peaks (2θ from 10° to 90°), in order of falling intensity:
d/Å, 2theta, Rel. int.
2.271, 39.68, 100
1.311, 72.01, 35
1.606, 57.37, 17
1.136, 85.51, 12
3.709, 23.99, 6
3.212, 27.77, 4
1.937, 46.91, 3
1.436, 64.91, 2
1.474, 63.08, 1
1.855, 49.13, 1


For NbGeIr, a cell relaxed with PBE gives the calculated X-ray powder pattern in this record (Cu Kα, 1.54184 Å).
Lines closer than 0.1° are merged.

Structure:
```
12
Lattice="6.522 0.000 0.000 0.000 3.929 0.000 0.000 0.000 7.477" Properties=species:S:1:pos:R:3 pbc="T T T"
Nb 0.172 0.982 1.335
Nb 3.090 2.946 5.074
Nb 3.433 0.982 2.403
Nb 6.351 2.946 6.142
Ge 1.569 2.946 2.816
Ge 1.692 0.982 6.555
Ge 4.830 2.946 0.922
Ge 4.953 0.982 4.661
Ir 0.938 0.982 4.198
Ir 2.323 2.946 0.459
Ir 4.200 0.982 7.018
Ir 5.584 2.946 3.279
```

The 10 most intense peaks (2θ from 10° to 90°), in order of falling intensity:
d/Å, 2theta, Rel. int.
2.501, 35.90, 100
2.509, 35.78, 84
2.086, 43.38, 78
2.379, 37.82, 77
2.105, 42.98, 74
1.964, 46.22, 62
4.915, 18.05, 51
3.069, 29.10, 40
1.333, 70.65, 35
2.003, 45.28, 33